This entry pairs a crystal structure of YNbTe2O8 with its simulated XRD peak list. Radiation: CuKα. Structure: the PBE geometry in Alexandria.
No peak broadening, texture or thermal motion is included.

Top 10 peaks for 2θ = 10–80°, in order of rising 2θ:
two_theta, d (Å), I_rel
22.21, 4.002, 26
24.95, 3.569, 13
27.12, 3.287, 69
28.15, 3.170, 100
32.03, 2.794, 60
32.28, 2.773, 15
34.26, 2.618, 15
45.94, 1.976, 35
47.21, 1.925, 18
55.30, 1.661, 21

Atomic structure:
Cell lengths 5.6010, 5.6010, 22.3303 Å; angles 90.00, 90.00, 93.14 degrees
Fractional positions:
Y 0.2470 0.2470 0.0000
Y 0.2530 0.2530 0.5000
Y 0.7470 0.7470 0.5000
Y 0.7530 0.7530 0.0000
Nb 0.2360 0.2640 0.2500
Nb 0.2640 0.2360 0.7500
Nb 0.7360 0.7640 0.2500
Nb 0.7640 0.7360 0.7500
Te 0.1818 0.8182 0.8708
Te 0.1925 0.8075 0.6055
Te 0.3075 0.6925 0.1055
Te 0.3182 0.6818 0.3708
Te 0.6818 0.3182 0.6292
Te 0.6925 0.3075 0.8945
Te 0.8075 0.1925 0.3945
Te 0.8182 0.1818 0.1292
O 0.0148 0.9852 0.4360
O 0.0393 0.4607 0.7500
O 0.0397 0.9603 0.7290
O 0.0515 0.5663 0.0561
O 0.0663 0.5515 0.5561
O 0.0680 0.9320 0.9445
O 0.1384 0.2344 0.1605
O 0.2344 0.1384 0.8395
O 0.2656 0.3616 0.3395
O 0.3616 0.2656 0.6605
O 0.4320 0.5680 0.4445
O 0.4337 0.9485 0.0561
O 0.4485 0.9337 0.5561
O 0.4603 0.5397 0.2290
O 0.4607 0.0393 0.2500
O 0.4852 0.5148 0.9360
O 0.5148 0.4852 0.0640
O 0.5393 0.9607 0.7500
O 0.5397 0.4603 0.7710
O 0.5515 0.0663 0.4439
O 0.5663 0.0515 0.9439
O 0.5680 0.4320 0.5555
O 0.6384 0.7344 0.3395
O 0.7344 0.6384 0.6605
O 0.7656 0.8616 0.1605
O 0.8616 0.7656 0.8395
O 0.9320 0.0680 0.0555
O 0.9337 0.4485 0.4439
O 0.9485 0.4337 0.9439
O 0.9603 0.0397 0.2710
O 0.9607 0.5393 0.2500
O 0.9852 0.0148 0.5640

---

This entry pairs a crystal structure of Pm2Dy5Sb4 with its simulated XRD peak list. Radiation: CuKα. Structure: the PBE geometry in Alexandria.
No peak broadening, texture or thermal motion is included.

Top 10 peaks for 2θ = 10–80°, in order of rising 2θ:
two_theta, d (Å), I_rel
21.06, 4.218, 69
23.39, 3.803, 34
24.36, 3.654, 30
28.72, 3.109, 24
31.56, 2.835, 69
35.28, 2.544, 100
36.31, 2.474, 49
38.79, 2.321, 83
42.23, 2.140, 40
53.67, 1.708, 31

Atomic structure:
Cell lengths 12.6719, 12.6719, 7.1477 Å; angles 95.32, 95.32, 19.44 degrees
Fractional positions:
Pm 0.0544 0.0544 0.1580
Pm 0.9456 0.9456 0.8420
Dy 0.1692 0.1692 0.4741
Dy 0.1787 0.1787 0.9690
Dy 0.5000 0.5000 0.5000
Dy 0.8213 0.8213 0.0310
Dy 0.8308 0.8308 0.5259
Sb 0.0696 0.0696 0.7201
Sb 0.2738 0.2738 0.2706
Sb 0.7262 0.7262 0.7294
Sb 0.9304 0.9304 0.2799

---

This entry pairs a crystal structure of SnH3SCl3 with its simulated XRD peak list. Radiation: CuKα. Structure: the PBE geometry in Alexandria.
No peak broadening, texture or thermal motion is included.

Top 10 peaks for 2θ = 10–80°, in order of rising 2θ:
two_theta, d (Å), I_rel
14.85, 5.964, 53
15.42, 5.746, 100
21.16, 4.199, 56
21.79, 4.079, 41
29.96, 2.982, 34
31.13, 2.873, 59
33.45, 2.679, 23
34.26, 2.617, 31
43.08, 2.100, 24
44.42, 2.040, 19

Atomic structure:
Cell lengths 5.9688, 8.3976, 7.8858 Å; angles 90.00, 92.29, 90.00 degrees
Fractional positions:
Sn 0.0000 0.2299 0.0000
Sn 0.0000 0.7701 0.5000
H 0.4647 0.2838 0.2992
H 0.4647 0.7162 0.7992
H 0.4862 0.4608 0.4724
H 0.4862 0.5392 0.9724
H 0.7637 0.3810 0.3596
H 0.7637 0.6190 0.8596
S 0.5816 0.3120 0.4504
S 0.5816 0.6880 0.9504
Cl 0.0301 0.0582 0.2702
Cl 0.0301 0.9418 0.7702
Cl 0.4325 0.2798 0.0064
Cl 0.4325 0.7202 0.5064
Cl 0.9665 0.4852 0.2160
Cl 0.9665 0.5148 0.7160

---

This entry pairs a crystal structure of LaHo2AlAu4 with its simulated XRD peak list. Radiation: CuKα. Structure: the PBE geometry in Alexandria.
No peak broadening, texture or thermal motion is included.

Top 10 peaks for 2θ = 10–80°, in order of rising 2θ:
two_theta, d (Å), I_rel
20.48, 4.337, 17
26.93, 3.311, 14
34.61, 2.592, 68
36.26, 2.477, 100
42.00, 2.151, 17
43.70, 2.072, 13
50.99, 1.791, 23
64.17, 1.451, 23
65.23, 1.430, 18
76.98, 1.239, 12

Atomic structure:
Cell lengths 9.1328, 9.1328, 9.1328 Å; angles 31.48, 31.48, 31.48 degrees
Fractional positions:
La 0.0000 0.0000 0.0000
Ho 0.2360 0.2360 0.2360
Ho 0.7640 0.7640 0.7640
Al 0.5000 0.5000 0.5000
Au 0.1214 0.1214 0.1214
Au 0.3960 0.3960 0.3960
Au 0.6040 0.6040 0.6040
Au 0.8786 0.8786 0.8786

---

This entry pairs a crystal structure of RbPmNiCl6 with its simulated XRD peak list. Radiation: CuKα. Structure: the PBE geometry in Alexandria.
No peak broadening, texture or thermal motion is included.

Top 10 peaks for 2θ = 10–80°, in order of rising 2θ:
two_theta, d (Å), I_rel
12.06, 7.339, 44
19.42, 4.570, 100
26.43, 3.372, 20
29.15, 3.064, 30
33.02, 2.713, 22
36.18, 2.483, 70
39.96, 2.256, 13
42.78, 2.114, 28
46.66, 1.947, 23
60.43, 1.532, 13

Atomic structure:
Cell lengths 6.7433, 6.7433, 7.3392 Å; angles 90.00, 90.00, 120.00 degrees
Fractional positions:
Rb 0.0000 0.0000 0.0000
Pm 0.3333 0.6667 0.5000
Ni 0.6667 0.3333 0.5000
Cl 0.3867 0.0327 0.6980
Cl 0.3867 0.3539 0.3020
Cl 0.6461 0.0327 0.3020
Cl 0.6461 0.6133 0.6980
Cl 0.9673 0.3539 0.6980
Cl 0.9673 0.6133 0.3020

---

This entry pairs a crystal structure of PuZr4Zn5 with its simulated XRD peak list. Radiation: CuKα. Structure: the PBE geometry in Alexandria.
No peak broadening, texture or thermal motion is included.

Top 10 peaks for 2θ = 10–80°, in order of rising 2θ:
two_theta, d (Å), I_rel
26.71, 3.337, 9
30.91, 2.893, 8
33.86, 2.647, 9
37.35, 2.408, 100
38.13, 2.360, 51
52.65, 1.738, 7
55.03, 1.669, 17
66.84, 1.400, 14
68.40, 1.372, 32
79.64, 1.204, 9

Atomic structure:
Cell lengths 3.3375, 3.3375, 17.3833 Å; angles 90.00, 90.00, 90.00 degrees
Fractional positions:
Pu 0.0000 0.0000 0.0000
Zr 0.0000 0.0000 0.2103
Zr 0.0000 0.0000 0.4035
Zr 0.0000 0.0000 0.5965
Zr 0.0000 0.0000 0.7897
Zn 0.5000 0.5000 0.1169
Zn 0.5000 0.5000 0.3070
Zn 0.5000 0.5000 0.5000
Zn 0.5000 0.5000 0.6930
Zn 0.5000 0.5000 0.8831

---

This entry pairs a crystal structure of Ac2NdHg3 with its simulated XRD peak list. Radiation: CuKα. Structure: the PBE geometry in Alexandria.
No peak broadening, texture or thermal motion is included.

Top 10 peaks for 2θ = 10–80°, in order of rising 2θ:
two_theta, d (Å), I_rel
26.94, 3.310, 2
31.81, 2.813, 100
37.64, 2.389, 1
45.61, 1.989, 18
50.10, 1.821, 2
56.68, 1.624, 38
66.48, 1.406, 12
66.92, 1.398, 2
75.49, 1.259, 4
75.64, 1.257, 12

Atomic structure:
Cell lengths 3.9753, 3.9753, 11.9500 Å; angles 90.00, 90.00, 90.00 degrees
Fractional positions:
Ac 0.0000 0.0000 0.1733
Ac 0.0000 0.0000 0.8267
Nd 0.0000 0.0000 0.5000
Hg 0.5000 0.5000 0.0000
Hg 0.5000 0.5000 0.3500
Hg 0.5000 0.5000 0.6500

---

This entry pairs a crystal structure of Sr4Th3TcN8 with its simulated XRD peak list. Radiation: CuKα. Structure: the PBE geometry in Alexandria.
No peak broadening, texture or thermal motion is included.

Top 10 peaks for 2θ = 10–80°, in order of rising 2θ:
two_theta, d (Å), I_rel
14.69, 6.030, 35
28.98, 3.081, 18
29.63, 3.015, 36
30.24, 2.955, 99
34.88, 2.572, 100
49.76, 1.832, 35
50.56, 1.805, 34
58.99, 1.566, 17
59.70, 1.549, 32
62.90, 1.478, 18

Atomic structure:
Cell lengths 7.3312, 7.3312, 7.3312 Å; angles 59.01, 59.01, 59.01 degrees
Fractional positions:
Sr 0.0000 0.0000 0.0000
Sr 0.0000 0.5000 0.5000
Sr 0.5000 0.0000 0.5000
Sr 0.5000 0.5000 0.0000
Th 0.0000 0.0000 0.5000
Th 0.0000 0.5000 0.0000
Th 0.5000 0.0000 0.0000
Tc 0.5000 0.5000 0.5000
N 0.2373 0.2373 0.2373
N 0.2522 0.7275 0.7275
N 0.2725 0.2725 0.7478
N 0.2725 0.7478 0.2725
N 0.7275 0.2522 0.7275
N 0.7275 0.7275 0.2522
N 0.7478 0.2725 0.2725
N 0.7627 0.7627 0.7627

---

This entry pairs a crystal structure of Mg4CdPb5 with its simulated XRD peak list. Radiation: CuKα. Structure: the PBE geometry in Alexandria.
No peak broadening, texture or thermal motion is included.

Top 10 peaks for 2θ = 10–80°, in order of rising 2θ:
two_theta, d (Å), I_rel
21.20, 4.192, 30
24.96, 3.567, 42
32.97, 2.716, 100
35.60, 2.522, 41
41.80, 2.161, 22
50.51, 1.807, 13
51.22, 1.783, 15
57.14, 1.612, 20
62.28, 1.491, 33
69.16, 1.358, 12

Atomic structure:
Cell lengths 3.5668, 3.5668, 20.9585 Å; angles 90.00, 90.00, 90.00 degrees
Fractional positions:
Mg 0.0000 0.0000 0.0999
Mg 0.0000 0.0000 0.2958
Mg 0.0000 0.0000 0.7042
Mg 0.0000 0.0000 0.9001
Cd 0.0000 0.0000 0.5000
Pb 0.5000 0.5000 0.0000
Pb 0.5000 0.5000 0.1977
Pb 0.5000 0.5000 0.3949
Pb 0.5000 0.5000 0.6051
Pb 0.5000 0.5000 0.8023

---

This entry pairs a crystal structure of NbPdPt3 with its simulated XRD peak list. Radiation: CuKα. Structure: the PBE geometry in Alexandria.
No peak broadening, texture or thermal motion is included.

Top 10 peaks for 2θ = 10–80°, in order of rising 2θ:
two_theta, d (Å), I_rel
20.31, 4.372, 40
20.42, 4.348, 100
39.46, 2.284, 72
41.30, 2.186, 96
41.53, 2.174, 31
48.13, 1.891, 62
52.80, 1.734, 25
70.26, 1.340, 20
70.60, 1.334, 20
74.04, 1.280, 21

Atomic structure:
Cell lengths 5.3368, 5.3368, 5.3368 Å; angles 60.27, 60.27, 60.27 degrees
Fractional positions:
Nb 0.0000 0.0000 0.0000
Pd 0.5000 0.5000 0.5000
Pt 0.0000 0.5000 0.5000
Pt 0.5000 0.0000 0.5000
Pt 0.5000 0.5000 0.0000

---

This entry pairs a crystal structure of Rb2As2Se with its simulated XRD peak list. Radiation: CuKα. Structure: the PBE geometry in Alexandria.
No peak broadening, texture or thermal motion is included.

Top 10 peaks for 2θ = 10–80°, in order of rising 2θ:
two_theta, d (Å), I_rel
25.90, 3.441, 100
29.67, 3.011, 33
35.04, 2.561, 12
36.95, 2.433, 39
37.54, 2.396, 24
46.17, 1.966, 26
48.08, 1.892, 17
53.25, 1.720, 13
60.13, 1.539, 18
60.55, 1.529, 11

Atomic structure:
Cell lengths 6.1948, 6.1948, 6.1948 Å; angles 112.52, 112.52, 103.53 degrees
Fractional positions:
Rb 0.2500 0.7500 0.5000
Rb 0.7500 0.2500 0.5000
As 0.1545 0.1545 0.0000
As 0.8455 0.8455 0.0000
Se 0.5000 0.5000 0.0000

---

This entry pairs a crystal structure of Ca2In5Pd3 with its simulated XRD peak list. Radiation: CuKα. Structure: the PBE geometry in Alexandria.
No peak broadening, texture or thermal motion is included.

Top 10 peaks for 2θ = 10–80°, in order of rising 2θ:
two_theta, d (Å), I_rel
17.86, 4.966, 32
31.35, 2.853, 44
32.78, 2.732, 100
32.88, 2.724, 72
36.04, 2.492, 37
39.23, 2.296, 30
39.62, 2.275, 76
41.84, 2.159, 27
42.93, 2.107, 49
43.80, 2.067, 59

Atomic structure:
Cell lengths 13.5939, 13.5939, 7.3974 Å; angles 90.00, 90.00, 160.73 degrees
Fractional positions:
Ca 0.0233 0.9767 0.5000
Ca 0.3242 0.6758 0.5840
Ca 0.6758 0.3242 0.0840
Ca 0.9767 0.0233 0.0000
In 0.0986 0.9014 0.8780
In 0.2069 0.7931 0.3867
In 0.2084 0.7916 0.7939
In 0.3749 0.6251 0.0284
In 0.4474 0.5526 0.6708
In 0.5526 0.4474 0.1708
In 0.6251 0.3749 0.5284
In 0.7916 0.2084 0.2939
In 0.7931 0.2069 0.8867
In 0.9014 0.0986 0.3780
Pd 0.1102 0.8898 0.2599
Pd 0.2714 0.7286 0.0939
Pd 0.4537 0.5463 0.2845
Pd 0.5463 0.4537 0.7845
Pd 0.7286 0.2714 0.5939
Pd 0.8898 0.1102 0.7599

---

Copy entry 6 word for word.
This entry pairs a crystal structure of PuZr4Zn5 with its simulated XRD peak list. Radiation: CuKα. Structure: the PBE geometry in Alexandria.
No peak broadening, texture or thermal motion is included.

Top 10 peaks for 2θ = 10–80°, in order of rising 2θ:
two_theta, d (Å), I_rel
26.71, 3.337, 9
30.91, 2.893, 8
33.86, 2.647, 9
37.35, 2.408, 100
38.13, 2.360, 51
52.65, 1.738, 7
55.03, 1.669, 17
66.84, 1.400, 14
68.40, 1.372, 32
79.64, 1.204, 9

Atomic structure:
Cell lengths 3.3375, 3.3375, 17.3833 Å; angles 90.00, 90.00, 90.00 degrees
Fractional positions:
Pu 0.0000 0.0000 0.0000
Zr 0.0000 0.0000 0.2103
Zr 0.0000 0.0000 0.4035
Zr 0.0000 0.0000 0.5965
Zr 0.0000 0.0000 0.7897
Zn 0.5000 0.5000 0.1169
Zn 0.5000 0.5000 0.3070
Zn 0.5000 0.5000 0.5000
Zn 0.5000 0.5000 0.6930
Zn 0.5000 0.5000 0.8831